1.
Diffraction record for LaPb6BrO7. The X-ray diffraction stick pattern is calculated, not measured: it uses a DFT-relaxed cell (GGA-PBE, the Materials Project) and Cu Kα, 1.54184 Å.
Kinematic intensities with the Lorentz-polarization factor, no thermal factor.

Crystal structure
abc: 9.7037 9.7037 8.2711
angles: 90.00 90.00 118.82
Fractional coordinates of all 30 atoms:
La1 0.0000 0.0000 0.0000
La2 0.0000 0.0000 0.5000
Pb1 0.1046 0.3663 0.7500
Pb2 0.1873 0.3857 0.2500
Pb3 0.2277 0.7723 0.5143
Pb4 0.2277 0.7723 0.9857
Pb5 0.3663 0.1046 0.2500
Pb6 0.3857 0.1873 0.7500
Pb7 0.6143 0.8127 0.2500
Pb8 0.6337 0.8954 0.7500
Pb9 0.7723 0.2277 0.0143
Pb10 0.7723 0.2277 0.4857
Pb11 0.8127 0.6143 0.7500
Pb12 0.8954 0.6337 0.2500
Br1 0.5000 0.5000 0.0000
Br2 0.5000 0.5000 0.5000
O1 0.0207 0.2791 0.0288
O2 0.0207 0.2791 0.4712
O3 0.1396 0.1580 0.7500
O4 0.1580 0.1396 0.2500
O5 0.1929 0.8071 0.2500
O6 0.2791 0.0207 0.5288
O7 0.2791 0.0207 0.9712
O8 0.7209 0.9793 0.0288
O9 0.7209 0.9793 0.4712
O10 0.8071 0.1929 0.7500
O11 0.8420 0.8604 0.7500
O12 0.8604 0.8420 0.2500
O13 0.9793 0.7209 0.5288
O14 0.9793 0.7209 0.9712

Top 10 peaks for 10 to 80 degrees two-theta, sorted by position:
| Position (°2θ) | intensity |
| --- | --- |
| 27.98 | 81 |
| 28.15 | 100 |
| 30.42 | 58 |
| 36.38 | 18 |
| 43.78 | 18 |
| 48.13 | 34 |
| 52.47 | 15 |
| 52.76 | 28 |
| 58.19 | 11 |
| 60.50 | 12 |

2.
Diffraction record for Ba5Ga6H2. The X-ray diffraction stick pattern is calculated, not measured: it uses a DFT-relaxed cell (GGA-PBE, the Materials Project) and Cu Kα, 1.54184 Å.
Kinematic intensities with the Lorentz-polarization factor, no thermal factor.

Crystal structure
abc: 7.8075 7.8075 14.4681
angles: 90.00 90.00 120.00
Fractional coordinates of all 26 atoms:
Ba1 0.0000 0.0000 0.0000
Ba2 0.0000 0.0000 0.5000
Ba3 0.0242 0.3347 0.2322
Ba4 0.0242 0.6895 0.7322
Ba5 0.3105 0.3347 0.7322
Ba6 0.3105 0.9758 0.2322
Ba7 0.3333 0.6667 0.4675
Ba8 0.3333 0.6667 0.9675
Ba9 0.6653 0.6895 0.2322
Ba10 0.6653 0.9758 0.7322
Ga1 0.4589 0.1405 0.9031
Ga2 0.4589 0.3184 0.4031
Ga3 0.4748 0.1256 0.5585
Ga4 0.4748 0.3492 0.0585
Ga5 0.6508 0.1256 0.0585
Ga6 0.6508 0.5252 0.5585
Ga7 0.6816 0.1405 0.4031
Ga8 0.6816 0.5411 0.9031
Ga9 0.8595 0.3184 0.9031
Ga10 0.8595 0.5411 0.4031
Ga11 0.8744 0.3492 0.5585
Ga12 0.8744 0.5252 0.0585
H1 0.0000 0.0000 0.1878
H2 0.0000 0.0000 0.6878
H3 0.3333 0.6667 0.2855
H4 0.3333 0.6667 0.7855

Top 10 peaks for 10 to 80 degrees two-theta, sorted by position:
| Position (°2θ) | intensity |
| --- | --- |
| 23.61 | 38 |
| 25.94 | 94 |
| 27.98 | 27 |
| 29.16 | 27 |
| 29.44 | 100 |
| 35.11 | 23 |
| 37.31 | 35 |
| 39.97 | 39 |
| 47.52 | 55 |
| 64.45 | 24 |

3.
Diffraction record for HfB2. The X-ray diffraction stick pattern is calculated, not measured: it uses a DFT-relaxed cell (GGA-PBE, the Materials Project) and Cu Kα, 1.54184 Å.
Kinematic intensities with the Lorentz-polarization factor, no thermal factor.

Crystal structure
abc: 3.1487 3.1487 3.4799
angles: 90.00 90.00 120.00
Fractional coordinates of all 3 atoms:
Hf1 0.0000 0.0000 0.0000
B1 0.3333 0.6667 0.5000
B2 0.6667 0.3333 0.5000

Top 9 peaks for 10 to 80 degrees two-theta, sorted by position:
| Position (°2θ) | intensity |
| --- | --- |
| 25.60 | 45 |
| 32.84 | 82 |
| 42.10 | 100 |
| 52.60 | 9 |
| 58.64 | 20 |
| 63.42 | 26 |
| 65.02 | 22 |
| 68.87 | 10 |
| 74.79 | 18 |

4.
Diffraction record for CeB2Ir3. The X-ray diffraction stick pattern is calculated, not measured: it uses a DFT-relaxed cell (GGA-PBE, the Materials Project) and Cu Kα, 1.54184 Å.
Kinematic intensities with the Lorentz-polarization factor, no thermal factor.

Crystal structure
abc: 5.4692 5.4692 3.2049
angles: 90.00 90.00 120.00
Fractional coordinates of all 6 atoms:
Ce1 0.0000 0.0000 0.0000
B1 0.3333 0.6667 0.0000
B2 0.6667 0.3333 0.0000
Ir1 0.0000 0.5000 0.5000
Ir2 0.5000 0.0000 0.5000
Ir3 0.5000 0.5000 0.5000

Top 10 peaks for 10 to 80 degrees two-theta, sorted by position:
| Position (°2θ) | intensity |
| --- | --- |
| 27.84 | 26 |
| 33.77 | 58 |
| 37.99 | 100 |
| 43.50 | 33 |
| 47.75 | 41 |
| 57.51 | 11 |
| 59.11 | 24 |
| 68.64 | 19 |
| 71.02 | 33 |
| 78.73 | 10 |

5.
Diffraction record for GeN2F5. The X-ray diffraction stick pattern is calculated, not measured: it uses a DFT-relaxed cell (GGA-PBE, the Materials Project) and Cu Kα, 1.54184 Å.
Kinematic intensities with the Lorentz-polarization factor, no thermal factor.

Crystal structure
abc: 6.0709 6.0709 7.6981
angles: 90.00 90.00 90.00
Fractional coordinates of all 16 atoms:
Ge1 0.2500 0.2500 0.2319
Ge2 0.7500 0.7500 0.7681
N1 0.2500 0.2500 0.5804
N2 0.2500 0.7500 0.0000
N3 0.7500 0.2500 0.0000
N4 0.7500 0.7500 0.4196
F1 0.0393 0.4467 0.2815
F2 0.0533 0.0393 0.2815
F3 0.2500 0.2500 0.0043
F4 0.4467 0.4607 0.2815
F5 0.4607 0.0533 0.2815
F6 0.5393 0.9467 0.7185
F7 0.5533 0.5393 0.7185
F8 0.7500 0.7500 0.9957
F9 0.9467 0.9607 0.7185
F10 0.9607 0.5533 0.7185

Top 10 peaks for 10 to 80 degrees two-theta, sorted by position:
| Position (°2θ) | intensity |
| --- | --- |
| 18.61 | 100 |
| 20.69 | 49 |
| 23.11 | 20 |
| 31.21 | 14 |
| 35.04 | 14 |
| 38.07 | 20 |
| 42.10 | 21 |
| 48.84 | 8 |
| 55.90 | 16 |
| 66.41 | 9 |

6.
Diffraction record for Nd2Co12P7. The X-ray diffraction stick pattern is calculated, not measured: it uses a DFT-relaxed cell (GGA-PBE, the Materials Project) and Cu Kα, 1.54184 Å.
Kinematic intensities with the Lorentz-polarization factor, no thermal factor.

Crystal structure
abc: 9.0820 9.0820 3.6321
angles: 90.00 90.00 120.00
Fractional coordinates of all 21 atoms:
Nd1 0.0000 0.0000 0.0000
Nd2 0.3333 0.6667 0.5000
Co1 0.0471 0.7649 0.5000
Co2 0.0987 0.3920 0.0000
Co3 0.2351 0.2822 0.5000
Co4 0.2933 0.9013 0.0000
Co5 0.3962 0.2129 0.0000
Co6 0.5388 0.1029 0.5000
Co7 0.5641 0.4612 0.5000
Co8 0.6080 0.7067 0.0000
Co9 0.7178 0.9529 0.5000
Co10 0.7871 0.1833 0.0000
Co11 0.8167 0.6038 0.0000
Co12 0.8971 0.4359 0.5000
P1 0.0681 0.6279 0.0000
P2 0.2689 0.0406 0.5000
P3 0.3721 0.4403 0.0000
P4 0.5597 0.9319 0.0000
P5 0.6667 0.3333 0.0000
P6 0.7718 0.7311 0.5000
P7 0.9594 0.2282 0.5000

Top 10 peaks for 10 to 80 degrees two-theta, sorted by position:
| Position (°2θ) | intensity |
| --- | --- |
| 27.04 | 10 |
| 30.06 | 10 |
| 34.20 | 10 |
| 39.16 | 100 |
| 39.70 | 9 |
| 48.69 | 9 |
| 50.24 | 17 |
| 53.38 | 16 |
| 56.99 | 10 |
| 76.34 | 10 |

7.
Diffraction record for Na2MgCu2O4. The X-ray diffraction stick pattern is calculated, not measured: it uses a DFT-relaxed cell (GGA-PBE, the Materials Project) and Cu Kα, 1.54184 Å.
Kinematic intensities with the Lorentz-polarization factor, no thermal factor.

Crystal structure
abc: 5.9113 5.9113 6.7281
angles: 100.41 100.41 31.36
Fractional coordinates of all 9 atoms:
Na1 0.2322 0.2322 0.2461
Na2 0.7678 0.7678 0.7539
Mg1 0.0000 0.0000 0.5000
Cu1 0.4945 0.4945 0.8200
Cu2 0.5055 0.5055 0.1800
O1 0.3723 0.3723 0.9880
O2 0.3934 0.3934 0.5668
O3 0.6066 0.6066 0.4332
O4 0.6277 0.6277 0.0120

Top 10 peaks for 10 to 80 degrees two-theta, sorted by position:
| Position (°2θ) | intensity |
| --- | --- |
| 15.85 | 100 |
| 18.77 | 16 |
| 29.06 | 77 |
| 32.02 | 24 |
| 32.77 | 31 |
| 37.92 | 32 |
| 38.07 | 18 |
| 41.13 | 15 |
| 43.50 | 27 |
| 49.24 | 16 |

8.
Diffraction record for Ho4Zr3O12. The X-ray diffraction stick pattern is calculated, not measured: it uses a DFT-relaxed cell (GGA-PBE, the Materials Project) and Cu Kα, 1.54184 Å.
Kinematic intensities with the Lorentz-polarization factor, no thermal factor.

Crystal structure
abc: 6.3647 6.4044 6.5766
angles: 99.86 98.53 99.58
Fractional coordinates of all 19 atoms:
Ho1 0.1110 0.3005 0.1347
Ho2 0.1946 0.8650 0.3906
Ho3 0.8054 0.1350 0.6094
Ho4 0.8890 0.6995 0.8653
Zr1 0.3491 0.3965 0.6717
Zr2 0.5000 0.0000 0.0000
Zr3 0.6509 0.6035 0.3283
O1 0.0856 0.4190 0.8210
O2 0.0866 0.1875 0.4331
O3 0.1850 0.9310 0.0612
O4 0.3268 0.5711 0.4274
O5 0.4196 0.0836 0.6926
O6 0.4694 0.3222 0.1123
O7 0.5306 0.6778 0.8877
O8 0.5804 0.9164 0.3074
O9 0.6732 0.4289 0.5726
O10 0.8150 0.0690 0.9388
O11 0.9134 0.8125 0.5669
O12 0.9144 0.5810 0.1790

Top 10 peaks for 10 to 80 degrees two-theta, sorted by position:
| Position (°2θ) | intensity |
| --- | --- |
| 28.83 | 100 |
| 29.18 | 90 |
| 29.65 | 96 |
| 29.79 | 91 |
| 33.84 | 38 |
| 33.96 | 40 |
| 34.31 | 38 |
| 48.77 | 53 |
| 49.09 | 29 |
| 58.42 | 34 |